# GePd12Pt3
Theoretical PXRD pattern, Cu Ka. Input: the GGA-PBE geometry in Alexandria.
No peak broadening, texture or thermal motion is included.

The 10 most intense peaks (10 to 90 degrees two-theta), by angle:
3.952 Å, I = 2; 2.786 Å, I = 2; 2.277 Å, I = 100; 1.976 Å, I = 33; 1.964 Å, I = 16; 1.397 Å, I = 10; 1.393 Å, I = 21; 1.191 Å, I = 25; 1.185 Å, I = 12; 1.138 Å, I = 11

Structural model:
a = 3.9519 Å, b = 3.9519 Å, c = 15.7087 Å
α = 90.00°, β = 90.00°, γ = 90.00°
Element x y z (fractional)
Ge (0.0000, 0.0000, 0.0000)
Pd (0.0000, 0.5000, 0.1207)
Pd (0.0000, 0.5000, 0.3746)
Pd (0.0000, 0.5000, 0.6254)
Pd (0.0000, 0.5000, 0.8793)
Pd (0.5000, 0.0000, 0.1207)
Pd (0.5000, 0.0000, 0.3746)
Pd (0.5000, 0.0000, 0.6254)
Pd (0.5000, 0.0000, 0.8793)
Pd (0.5000, 0.5000, 0.0000)
Pd (0.5000, 0.5000, 0.2473)
Pd (0.5000, 0.5000, 0.5000)
Pd (0.5000, 0.5000, 0.7527)
Pt (0.0000, 0.0000, 0.2499)
Pt (0.0000, 0.0000, 0.5000)
Pt (0.0000, 0.0000, 0.7501)

---

# TbPm5Er3
Theoretical PXRD pattern, Cu Ka. Input: the GGA-PBE geometry in Alexandria.
No peak broadening, texture or thermal motion is included.

The 10 most intense peaks (10 to 90 degrees two-theta), by angle:
2.862 Å, I = 97; 2.833 Å, I = 100; 2.014 Å, I = 35; 1.641 Å, I = 35; 1.636 Å, I = 18; 1.496 Å, I = 29; 1.417 Å, I = 11; 1.270 Å, I = 14; 1.199 Å, I = 13; 1.104 Å, I = 10

Structural model:
a = 10.4262 Å, b = 10.4262 Å, c = 10.4262 Å
α = 140.49°, β = 70.85°, γ = 123.82°
Element x y z (fractional)
Tb (0.3404, 0.0904, 0.2500)
Tb (0.6596, 0.9096, 0.7500)
Pm (0.0194, 0.4345, 0.5848)
Pm (0.0207, 0.1019, 0.9188)
Pm (0.3170, 0.8981, 0.4188)
Pm (0.3249, 0.5749, 0.7500)
Pm (0.3497, 0.4345, 0.9152)
Pm (0.6503, 0.5655, 0.0848)
Pm (0.6751, 0.4251, 0.2500)
Pm (0.6830, 0.1019, 0.5812)
Pm (0.9793, 0.8981, 0.0812)
Pm (0.9806, 0.5655, 0.4152)
Er (0.0000, 0.0000, 0.5000)
Er (0.0000, 0.5000, 0.0000)
Er (0.3365, 0.0000, 0.8365)
Er (0.3365, 0.5000, 0.3365)
Er (0.6635, 0.0000, 0.1635)
Er (0.6635, 0.5000, 0.6635)